Simulated X-ray powder pattern
Compound: Cs2PbClF6
Radiation: a wavelength of 1.5418 Å
Structure: the GGA-PBE geometry in the Materials Project

Peak list (10 most intense, 10° ≤ 2θ ≤ 90°, sorted by position)
2θ (°)  I_rel
15.4  35
25.3  100
29.8  15
36.1  33
44.6  41
47.5  9
52.0  21
58.7  22
70.9  24
82.2  11

Cell and atoms:
```
Cs2PbClF6
1.0
0.0000 4.9747 4.9747
4.9747 0.0000 4.9747
4.9747 4.9747 0.0000
Cs Pb Cl F
2 1 1 6
direct
0.2500 0.2500 0.2500
0.7500 0.7500 0.7500
0.0000 0.0000 0.0000
0.5000 0.5000 0.5000
0.2127 0.2127 0.7873
0.2127 0.7873 0.2127
0.2127 0.7873 0.7873
0.7873 0.2127 0.2127
0.7873 0.2127 0.7873
0.7873 0.7873 0.2127
```